Entry 1:
The following is a theoretical PXRD pattern of Mn3BO5. It was derived from a DFT-relaxed cell (PBE+U, Alexandria), using a wavelength of 1.5418 Å.

Largest 10 diffraction maxima, low angle first, 5° ≤ 2θ ≤ 70°:
16.61°, rel. 448; 33.59°, rel. 1000; 33.90°, rel. 812; 36.48°, rel. 270; 40.70°, rel. 211; 42.57°, rel. 315; 45.53°, rel. 341; 55.98°, rel. 264; 58.19°, rel. 259; 58.93°, rel. 327

Structure:
```
Mn3BO5
1.0
9.5822 0.0000 0.0000
0.0000 12.8481 0.0000
0.0000 0.0000 3.1711
Mn B O
12 4 20
Cartesian
0.0000 0.0000 0.0000
0.0000 6.4241 1.5856
0.0920 2.8461 1.5856
2.3213 4.9286 0.0000
2.4698 11.3527 0.0000
4.6991 9.2702 1.5856
4.7911 0.0000 1.5856
4.7911 6.4241 0.0000
4.8831 3.5779 1.5856
7.1124 1.4954 0.0000
7.2608 7.9195 0.0000
9.4902 10.0020 1.5856
2.0789 8.2468 0.0000
2.7122 1.8228 0.0000
6.8700 11.0253 0.0000
7.5033 4.6013 0.0000
0.9810 4.7078 1.5856
1.0461 11.8463 1.5856
1.3207 1.8515 0.0000
1.3840 7.0290 0.0000
1.3765 9.4445 0.0000
3.4071 0.6049 0.0000
3.4146 3.0205 0.0000
3.4704 8.2755 0.0000
3.7450 5.4223 1.5856
3.8101 11.1319 1.5856
5.7721 1.7163 1.5856
5.8372 7.4258 1.5856
6.1118 4.5726 0.0000
6.1676 9.8276 0.0000
6.1751 12.2432 0.0000
8.2057 3.4036 0.0000
8.1982 5.8191 0.0000
8.2615 10.9966 0.0000
8.5361 1.0018 1.5856
8.6012 8.1403 1.5856
```


Entry 2:
The following is a theoretical PXRD pattern of Mn3B2O6. It was derived from a DFT-relaxed cell (PBE+U, Alexandria), using a wavelength of 1.5418 Å.

Largest 10 diffraction maxima, low angle first, 5° ≤ 2θ ≤ 70°:
21.43°, rel. 280; 24.45°, rel. 200; 31.86°, rel. 1000; 34.21°, rel. 375; 38.03°, rel. 528; 50.12°, rel. 308; 52.31°, rel. 377; 55.74°, rel. 165; 57.27°, rel. 238; 65.05°, rel. 156

Structure:
```
Mn3B2O6
1.0
4.6960 0.0000 0.0000
0.0000 5.7628 0.0000
0.0000 0.0000 8.8308
Mn B O
6 4 12
Cartesian
0.0000 0.0000 0.0000
0.0000 2.8814 1.6603
0.0000 2.8814 7.1705
2.3480 0.0000 2.7551
2.3480 0.0000 6.0757
2.3480 2.8814 4.4154
0.1811 1.4012 4.4154
2.1669 4.2826 0.0000
2.5291 1.4802 0.0000
4.5149 4.3617 4.4154
0.8850 1.6582 3.2292
0.8850 1.6582 5.6016
1.1578 4.7153 4.4154
1.1902 1.8339 0.0000
1.4629 4.5396 1.1862
1.4629 4.5396 7.6445
3.2330 1.2232 1.1862
3.2330 1.2232 7.6445
3.5058 3.9289 0.0000
3.5381 1.0475 4.4154
3.8109 4.1046 3.2292
3.8109 4.1046 5.6016
```


Entry 3:
The following is a theoretical PXRD pattern of Mn2BO6. It was derived from a DFT-relaxed cell (PBE+U, Alexandria), using a wavelength of 1.5418 Å.

Largest 10 diffraction maxima, low angle first, 5° ≤ 2θ ≤ 70°:
23.17°, rel. 289; 29.22°, rel. 1000; 36.44°, rel. 149; 38.48°, rel. 382; 44.01°, rel. 211; 47.00°, rel. 86; 47.37°, rel. 110; 48.33°, rel. 136; 58.11°, rel. 536; 60.58°, rel. 163

Structure:
```
Mn2BO6
1.0
4.3229 0.0000 0.0000
0.0000 4.3229 0.0000
0.0000 0.0000 8.3452
Mn B O
4 2 12
Cartesian
0.0000 0.0000 1.3937
0.0000 0.0000 6.9515
2.1614 2.1614 2.7789
2.1614 2.1614 5.5663
0.0000 0.0000 4.1726
2.1614 2.1614 0.0000
0.7895 0.7895 2.9271
0.7895 0.7895 5.4181
0.9130 0.9130 0.0000
1.2484 3.0744 4.1726
1.3719 2.9509 1.2455
1.3719 2.9509 7.0997
2.9509 1.3719 1.2455
2.9509 1.3719 7.0997
3.0744 1.2484 4.1726
3.4098 3.4098 0.0000
3.5334 3.5334 2.9271
3.5334 3.5334 5.4181
```


Entry 4:
The following is a theoretical PXRD pattern of PaMn3B4O12. It was derived from a DFT-relaxed cell (PBE+U, Alexandria), using a wavelength of 1.5418 Å.

Largest 10 diffraction maxima, low angle first, 5° ≤ 2θ ≤ 70°:
15.23°, rel. 745; 18.21°, rel. 478; 23.82°, rel. 860; 24.55°, rel. 258; 30.14°, rel. 371; 30.73°, rel. 1000; 35.95°, rel. 262; 36.89°, rel. 294; 50.32°, rel. 235; 50.66°, rel. 360

Structure:
```
PaMn3B4O12
1.0
4.8729 2.8134 2.6775
-4.8729 2.8134 2.6775
0.0000 -5.6268 2.6775
Pa Mn B O
1 3 4 12
Cartesian
0.0000 0.0000 0.0000
-2.6533 -1.0310 2.6775
2.2196 -1.7824 2.6775
0.4338 2.8134 2.6775
-2.2399 -3.8796 4.0162
0.0000 0.0000 4.0162
-2.2399 3.8796 4.0162
4.4798 0.0000 4.0162
-3.0044 -2.7008 4.0220
-3.9230 0.0000 4.0162
-0.8368 -3.9523 4.0104
-3.0044 2.7008 4.0104
-1.3826 0.0000 4.0162
1.9615 -3.3974 4.0162
0.6913 -1.1974 4.0162
0.6913 1.1974 4.0162
-0.8368 3.9523 4.0220
3.8412 -1.2514 4.0220
1.9615 3.3974 4.0162
3.8412 1.2514 4.0104
```


Entry 5:
The following is a theoretical PXRD pattern of PmMnB2O6. It was derived from a DFT-relaxed cell (PBE+U, Alexandria), using a wavelength of 1.5418 Å.

Largest 10 diffraction maxima, low angle first, 5° ≤ 2θ ≤ 70°:
21.65°, rel. 274; 23.66°, rel. 881; 30.47°, rel. 1000; 36.69°, rel. 322; 40.41°, rel. 221; 44.12°, rel. 280; 49.79°, rel. 223; 50.23°, rel. 430; 58.68°, rel. 214; 62.24°, rel. 180

Structure:
```
PmMnB2O6
1.0
2.4497 1.4143 5.4138
-2.4497 1.4143 5.4138
0.0000 -2.8287 5.4138
Pm Mn B O
1 1 2 6
Cartesian
0.0000 0.0000 0.0000
0.0000 0.0000 8.1207
0.0000 0.0000 3.8872
0.0000 0.0000 12.3543
-1.6415 -0.2893 6.8839
-0.5702 -1.5662 9.3576
1.0713 -1.2769 6.8839
-1.0713 1.2769 9.3576
0.5702 1.5662 6.8839
1.6415 0.2893 9.3575
```


Entry 6:
The following is a theoretical PXRD pattern of PmMn3B4O12. It was derived from a DFT-relaxed cell (PBE+U, Alexandria), using a wavelength of 1.5418 Å.

Largest 10 diffraction maxima, low angle first, 5° ≤ 2θ ≤ 70°:
15.47°, rel. 284; 18.28°, rel. 227; 24.03°, rel. 742; 30.36°, rel. 252; 31.24°, rel. 1000; 37.04°, rel. 242; 44.64°, rel. 170; 45.28°, rel. 196; 51.44°, rel. 301; 51.56°, rel. 202

Structure:
```
PmMn3B4O12
1.0
4.8541 2.8025 2.6067
-4.8541 2.8025 2.6067
0.0000 -5.6050 2.6067
Pm Mn B O
1 3 4 12
Cartesian
0.0000 0.0000 0.0000
-2.6563 -1.0041 2.6067
-2.6563 1.0041 5.2135
0.4586 2.8025 2.6067
-2.1850 -3.7846 3.9101
0.0000 0.0000 3.9101
-2.1850 3.7846 3.9101
4.3701 0.0000 3.9101
-2.9310 -2.6367 3.7802
-3.9403 0.0000 3.9101
-0.8180 -3.8567 4.0400
-1.3867 0.0000 3.9101
-2.9310 2.6367 4.0400
1.9702 -3.4124 3.9101
0.6933 -1.2009 3.9101
-0.8180 3.8567 3.7802
0.6933 1.2009 3.9101
3.7490 -1.2200 3.7802
1.9702 3.4124 3.9101
3.7490 1.2200 4.0400
```


Entry 7:
The following is a theoretical PXRD pattern of PuMnB2O8. It was derived from a DFT-relaxed cell (PBE+U, Alexandria), using a wavelength of 1.5418 Å.

Largest 10 diffraction maxima, low angle first, 5° ≤ 2θ ≤ 70°:
19.36°, rel. 382; 20.69°, rel. 1000; 27.51°, rel. 617; 34.67°, rel. 472; 37.02°, rel. 387; 44.81°, rel. 258; 49.80°, rel. 174; 53.39°, rel. 263; 55.09°, rel. 322; 57.84°, rel. 151

Structure:
```
PuMnB2O8
1.0
-3.2427 3.2427 2.8627
3.2427 -3.2427 2.8627
3.2427 3.2427 -2.8627
Pu Mn B O
1 1 2 8
Cartesian
0.0000 0.0000 0.0000
0.0000 3.2427 1.4314
3.2427 0.0000 1.4314
0.0000 0.0000 2.8627
2.0963 0.0000 0.5012
4.3891 0.0000 0.5012
3.2427 2.1095 -0.9420
3.2427 -1.1464 2.3615
0.0000 1.1332 1.9207
3.2427 1.1464 2.3615
2.1095 3.2427 0.9420
1.1332 0.0000 3.8047
```


Entry 8:
The following is a theoretical PXRD pattern of RbMn2B2O6. It was derived from a DFT-relaxed cell (PBE+U, Alexandria), using a wavelength of 1.5418 Å.

Largest 10 diffraction maxima, low angle first, 5° ≤ 2θ ≤ 70°:
15.53°, rel. 459; 18.69°, rel. 952; 27.20°, rel. 398; 27.80°, rel. 454; 28.34°, rel. 1000; 28.85°, rel. 312; 29.21°, rel. 458; 32.82°, rel. 401; 37.10°, rel. 436; 46.42°, rel. 320

Structure:
```
RbMn2B2O6
1.0
5.3976 0.0000 0.0000
-0.2056 5.4582 0.0000
-2.2176 -2.6226 5.7076
Rb Mn B O
1 2 2 6
Cartesian
0.0000 0.0000 0.0000
0.6591 2.7536 2.5338
2.3152 0.0820 3.1738
-0.1671 -0.2634 3.8019
3.1414 3.0989 1.9057
-1.4566 -0.3660 4.1869
0.3756 0.7994 3.0477
0.8235 -1.2177 4.0778
2.1508 4.0533 1.6298
2.5987 2.0362 2.6599
4.4309 3.2016 1.5206
```


Entry 9:
The following is a theoretical PXRD pattern of ThMnB2O8. It was derived from a DFT-relaxed cell (PBE+U, Alexandria), using a wavelength of 1.5418 Å.

Largest 10 diffraction maxima, low angle first, 5° ≤ 2θ ≤ 70°:
15.44°, rel. 313; 20.71°, rel. 1000; 30.32°, rel. 353; 31.16°, rel. 186; 31.48°, rel. 824; 44.03°, rel. 254; 44.51°, rel. 427; 50.14°, rel. 332; 50.70°, rel. 218; 65.91°, rel. 192

Structure:
```
ThMnB2O8
1.0
-2.3125 2.3125 5.7397
2.3125 -2.3125 5.7397
2.3125 2.3125 -5.7397
Th Mn B O
1 1 2 8
Cartesian
0.0000 0.0000 0.0000
2.3125 0.0000 2.8699
0.0000 0.0000 5.7397
0.0000 2.3125 2.8699
1.1280 -0.4768 4.9298
1.8357 1.1845 0.8099
-0.6072 1.1766 2.1357
1.1845 2.7893 -0.8099
1.1359 1.7052 3.6040
0.4768 1.1280 6.5497
0.6072 3.4484 2.1357
-1.1359 2.9197 3.6040
```


Entry 10:
The following is a theoretical PXRD pattern of MnTl2B2O6. It was derived from a DFT-relaxed cell (PBE+U, Alexandria), using a wavelength of 1.5418 Å.

Largest 10 diffraction maxima, low angle first, 5° ≤ 2θ ≤ 70°:
21.81°, rel. 956; 26.00°, rel. 770; 28.77°, rel. 1000; 35.18°, rel. 451; 35.43°, rel. 673; 41.99°, rel. 361; 44.47°, rel. 319; 52.05°, rel. 519; 58.10°, rel. 196; 59.59°, rel. 246

Structure:
```
MnTl2B2O6
1.0
2.5336 1.4628 7.3163
-2.5336 1.4628 7.3163
0.0000 -2.9255 7.3163
Mn Tl B O
1 2 2 6
Cartesian
0.0000 0.0000 0.0000
0.0000 0.0000 4.8864
0.0000 0.0000 17.0626
0.0000 0.0000 8.3497
0.0000 0.0000 13.5993
0.0000 -1.3796 8.4632
-1.1948 0.6898 8.4632
-1.1948 -0.6898 13.4859
1.1948 0.6898 8.4632
1.1948 -0.6898 13.4859
0.0000 1.3796 13.4859
```


Entry 11:
The following is a theoretical PXRD pattern of MnZn5B2O10. It was derived from a DFT-relaxed cell (PBE+U, Alexandria), using a wavelength of 1.5418 Å.

Largest 10 diffraction maxima, low angle first, 5° ≤ 2θ ≤ 70°:
17.03°, rel. 502; 18.73°, rel. 258; 34.44°, rel. 1000; 34.61°, rel. 788; 37.45°, rel. 377; 41.48°, rel. 257; 43.43°, rel. 277; 46.53°, rel. 346; 57.20°, rel. 263; 60.79°, rel. 328

Structure:
```
MnZn5B2O10
1.0
3.0957 0.0000 0.0000
0.0000 9.4752 0.0000
0.0000 0.0000 12.4667
Mn Zn B O
2 10 4 20
Cartesian
0.0000 0.0590 0.0000
0.0000 9.4161 6.2333
0.0000 2.5468 4.7091
0.0000 4.5687 9.5030
0.0000 4.9064 3.2696
0.0000 6.9283 10.9425
1.5478 2.4154 11.0037
1.5478 2.4354 2.0189
1.5478 2.4368 7.5225
1.5478 7.0383 1.2892
1.5478 7.0398 8.2523
1.5478 7.0597 4.7704
0.0000 0.1210 9.3155
0.0000 4.4934 0.2495
0.0000 4.9818 6.4829
0.0000 9.3542 3.0822
0.0000 0.8194 8.1042
0.0000 0.8391 10.5212
0.0000 1.2486 3.0635
0.0000 3.5748 6.4917
0.0000 3.7682 11.5406
0.0000 3.8112 1.4530
0.0000 5.6640 7.6864
0.0000 5.7069 5.3073
0.0000 5.9004 0.2583
0.0000 8.2266 9.2968
0.0000 8.6361 4.2879
0.0000 8.6557 1.8709
1.5478 1.1964 5.8647
1.5478 1.2781 0.3211
1.5478 3.2925 9.2256
1.5478 3.4775 3.7742
1.5478 5.9977 10.0076
1.5478 6.1827 2.9923
1.5478 8.1970 6.5544
1.5478 8.2788 12.0981
```